Entry 1:
Diffraction record for Li2PuBr4. The powder XRD pattern is computed, not measured: it uses a DFT-relaxed cell (PBE, Alexandria) and a wavelength of 1.5418 Å.
Lines closer than 0.1° are merged.

Cell and atoms:
Cell: 8.333 8.333 8.333 Å, 122.64 120.13 87.63°
Element x y z (fractional)
Li  0.000  0.000  0.000
Li  0.366  0.616  0.750
Li  0.500  0.000  0.500
Li  0.634  0.384  0.250
Pu  0.000  0.000  0.500
Pu  0.000  0.500  0.000
Br  0.248  0.232  0.484
Br  0.248  0.763  0.016
Br  0.255  0.239  0.016
Br  0.278  0.761  0.516
Br  0.722  0.239  0.484
Br  0.745  0.761  0.984
Br  0.752  0.237  0.984
Br  0.752  0.768  0.516

Principal peaks in the range 2θ = 5–70°, by intensity:
two_theta, Rel. int.
12.94, 100
31.03, 89
43.50, 89
25.81, 60
29.72, 50
14.73, 42
33.43, 27
24.65, 23
34.51, 23
21.37, 20



Entry 2:
Diffraction record for Li6PuBr8. The powder XRD pattern is computed, not measured: it uses a DFT-relaxed cell (PBE, Alexandria) and a wavelength of 1.5418 Å.
Lines closer than 0.1° are merged.

Cell and atoms:
Cell: 7.986 7.986 7.986 Å, 60.00 60.00 60.00°
Element x y z (fractional)
Li  0.000  0.000  0.500
Li  0.000  0.500  0.000
Li  0.000  0.500  0.500
Li  0.500  0.000  0.000
Li  0.500  0.000  0.500
Li  0.500  0.500  0.000
Pu  0.000  0.000  0.000
Br  0.250  0.250  0.250
Br  0.260  0.260  0.740
Br  0.260  0.740  0.260
Br  0.260  0.740  0.740
Br  0.740  0.260  0.260
Br  0.740  0.260  0.740
Br  0.740  0.740  0.260
Br  0.750  0.750  0.750

Principal peaks in the range 2θ = 5–70°, by intensity:
two_theta, Rel. int.
31.69, 100
45.43, 72
13.58, 46
26.17, 45
27.35, 36
15.69, 31
34.62, 31
22.26, 29
56.45, 25
35.55, 17